# Nd3DyPt2
Theoretical X-ray powder pattern, Cu Ka. Input: a crystal structure in Alexandria, relaxed with GGA-PBE.
Lines closer than 0.1° are merged.

Top 8 peaks for 2θ = 10–90°, in order of falling intensity:
36.12°, I 100, hkl 1 1 4; 29.33°, I 82, hkl 1 1 2; 37.92°, I 38, hkl 0 2 0; 38.41°, I 37, hkl 2 0 0; 35.65°, I 28, hkl 1 0 5; 26.73°, I 27, hkl 1 1 0; 55.08°, I 26, hkl 2 2 0; 35.52°, I 25, hkl 0 1 5

Cell and atoms:
```
Nd3DyPt2
1.0
4.687 0.000 0.000
0.000 4.746 0.000
0.000 0.000 14.928
Nd Dy Pt
6 2 4
direct
0.000 0.000 0.000 Nd
0.000 0.500 0.313 Nd
0.000 0.500 0.687 Nd
0.500 0.000 0.187 Nd
0.500 0.000 0.813 Nd
0.500 0.500 0.500 Nd
0.000 0.000 0.500 Dy
0.500 0.500 0.000 Dy
0.000 0.500 0.126 Pt
0.000 0.500 0.874 Pt
0.500 0.000 0.374 Pt
0.500 0.000 0.626 Pt
```